(1)
Structure and simulated X-ray diffraction stick pattern of LiFeF3 (a structure optimized by DFT (GGA+U); copper Kα).
Neutral-atom scattering factors, no anomalous dispersion.

Atomic structure:
a = 7.0937 Å, b = 7.0937 Å, c = 5.7157 Å
α = 106.16°, β = 106.16°, γ = 79.42°
Atoms (fractional coordinates):
Li  0.1196  0.2941  0.2059
Li  0.2941  0.1196  0.7059
Li  0.7059  0.8804  0.2941
Li  0.8804  0.7059  0.7941
Fe  0.2059  0.7941  0.2500
Fe  0.4138  0.5862  0.7500
Fe  0.5862  0.4138  0.2500
Fe  0.7941  0.2059  0.7500
F  0.0890  0.1938  0.8613
F  0.1608  0.6338  0.8621
F  0.1938  0.0890  0.3613
F  0.3050  0.4916  0.3349
F  0.3662  0.8392  0.6379
F  0.4916  0.3050  0.8349
F  0.5084  0.6950  0.1651
F  0.6338  0.1608  0.3621
F  0.6950  0.5084  0.6651
F  0.8062  0.9110  0.6387
F  0.8392  0.3662  0.1379
F  0.9110  0.8062  0.1387

The 6 most intense peaks (10° ≤ 2θ ≤ 90°), most intense first:
d 5.087, I 100
d 3.230, I 51
d 2.284, I 44
d 6.768, I 36
d 2.664, I 36
d 1.769, I 29


(2)
Structure and simulated X-ray diffraction stick pattern of LiFeF3 (a structure optimized by DFT (GGA+U); copper Kα).
Neutral-atom scattering factors, no anomalous dispersion.

Atomic structure:
a = 5.3931 Å, b = 3.0578 Å, c = 14.6871 Å
α = 90.00°, β = 90.00°, γ = 90.00°
Atoms (fractional coordinates):
Li  0.0755  0.2500  0.1761
Li  0.4245  0.7500  0.6761
Li  0.5755  0.2500  0.3239
Li  0.9245  0.7500  0.8239
Fe  0.1017  0.2500  0.4082
Fe  0.3983  0.7500  0.9082
Fe  0.6017  0.2500  0.0918
Fe  0.8983  0.7500  0.5918
F  0.0827  0.7500  0.7078
F  0.1332  0.2500  0.8778
F  0.1577  0.2500  0.5466
F  0.3423  0.7500  0.0466
F  0.3668  0.7500  0.3778
F  0.4173  0.2500  0.2078
F  0.5827  0.7500  0.7922
F  0.6332  0.2500  0.6222
F  0.6577  0.2500  0.9534
F  0.8423  0.7500  0.4534
F  0.8668  0.7500  0.1222
F  0.9173  0.2500  0.2922

The 6 most intense peaks (10° ≤ 2θ ≤ 90°), most intense first:
d 5.063, I 100
d 2.501, I 52
d 4.347, I 35
d 2.022, I 28
d 7.344, I 26
d 3.672, I 23